Calculated powder diffractogram of MnV for copper Kα, from DFT lattice parameters and positions (GGA-PBE).
Intensities are scaled so that the largest is 100.

Most intense lines, 2θ = 15–90°, by angle:
| Position (°2θ) | Rel. int. |
| --- | --- |
| 43.43 | 27.1 |
| 44.55 | 100.0 |
| 45.72 | 23.0 |
| 64.78 | 7.3 |
| 64.89 | 14.5 |
| 80.50 | 14.9 |
| 81.24 | 7.2 |
| 82.86 | 6.9 |
| 83.74 | 13.4 |

Cell and atoms:
```
MnV
1.0
1.439 -2.084 0.000
1.439 2.084 0.000
0.000 0.000 3.969
Mn V
1 1
Cartesian
0.000 0.000 0.000
1.439 0.000 1.985
```



Calculated powder diffractogram of LiTeHO4 for copper Kα, from DFT lattice parameters and positions (GGA-PBE).
Intensities are scaled so that the largest is 100.

Most intense lines, 2θ = 15–90°, by angle:
| Position (°2θ) | Rel. int. |
| --- | --- |
| 17.70 | 81.2 |
| 17.89 | 100.0 |
| 22.54 | 41.8 |
| 27.73 | 27.3 |
| 29.19 | 21.9 |
| 34.34 | 20.2 |
| 34.44 | 38.1 |
| 36.79 | 19.2 |
| 40.70 | 34.7 |
| 63.40 | 17.2 |

Cell and atoms:
```
LiTeHO4
1.0
5.063 0.000 0.000
0.000 6.119 0.000
-1.029 0.000 5.012
Li Te H O
2 2 2 8
Cartesian
0.149 0.000 1.942
3.885 3.059 3.070
2.481 1.519 0.057
1.553 4.578 4.955
1.921 4.551 2.296
2.113 1.492 2.716
0.467 3.050 4.192
0.527 6.102 4.118
1.302 1.468 1.498
1.328 4.626 1.424
2.705 1.566 3.587
2.732 4.528 3.514
3.507 3.042 0.894
3.567 6.110 0.820
```



Calculated powder diffractogram of CsPH2O4 for copper Kα, from DFT lattice parameters and positions (GGA-PBE).
Intensities are scaled so that the largest is 100.

Most intense lines, 2θ = 15–90°, by angle:
| Position (°2θ) | Rel. int. |
| --- | --- |
| 18.16 | 14.9 |
| 23.47 | 100.0 |
| 25.19 | 10.9 |
| 27.91 | 21.6 |
| 28.82 | 38.1 |
| 33.87 | 13.4 |
| 36.81 | 19.4 |
| 37.56 | 17.2 |
| 38.17 | 16.7 |
| 47.97 | 14.9 |

Cell and atoms:
```
CsPH2O4
1.0
4.962 0.000 0.000
0.000 6.393 0.000
-4.929 0.000 15.137
Cs P H O
4 4 8 16
Cartesian
-1.758 1.599 5.770
-4.223 1.597 13.339
4.256 4.796 1.799
1.792 4.793 9.368
1.702 1.541 1.965
-0.763 1.655 9.534
0.796 4.737 5.604
-1.668 4.852 13.172
-1.245 4.770 6.522
-3.709 4.819 14.090
-1.337 3.276 11.546
1.127 6.313 3.978
-1.094 0.080 11.160
1.371 3.117 3.591
3.743 1.573 1.047
1.278 1.623 8.616
0.329 1.582 1.318
-2.136 1.614 8.886
-2.732 4.775 14.360
-0.267 4.814 6.791
0.519 3.511 4.734
-1.964 3.512 12.353
0.501 6.077 4.784
-1.946 6.078 12.302
1.979 0.315 2.835
-0.467 0.316 10.353
1.997 2.881 2.784
-0.485 2.882 10.404
0.301 1.578 8.346
2.765 1.618 0.777
2.169 4.778 6.251
-0.295 4.811 13.820
```



Calculated powder diffractogram of Na3Al4O8 for copper Kα, from DFT lattice parameters and positions (GGA-PBE).
Intensities are scaled so that the largest is 100.

Most intense lines, 2θ = 15–90°, by angle:
| Position (°2θ) | Rel. int. |
| --- | --- |
| 16.88 | 37.8 |
| 26.84 | 100.0 |
| 31.88 | 28.0 |
| 36.28 | 9.4 |
| 49.06 | 22.7 |
| 50.67 | 16.6 |
| 52.25 | 7.9 |
| 65.27 | 9.3 |
| 67.96 | 10.0 |
| 70.60 | 13.2 |

Cell and atoms:
```
Na3Al4O8
1.0
-5.252 5.252 5.252
5.252 -5.252 5.252
5.252 5.252 -5.252
Na Al O
6 8 16
Cartesian
5.252 2.626 0.000
5.252 0.000 2.626
2.626 5.252 0.000
2.626 0.000 5.252
0.000 5.252 2.626
0.000 2.626 5.252
1.641 1.641 -1.641
3.611 3.611 -3.611
1.641 -1.641 1.641
3.611 -3.611 3.611
-1.641 1.641 1.641
1.641 1.641 1.641
-3.611 3.611 3.611
3.611 3.611 3.611
2.626 2.626 -2.626
0.000 8.414 2.091
2.626 -2.626 2.626
0.000 2.091 8.414
3.161 5.252 -3.161
2.091 2.091 0.000
2.091 0.000 2.091
3.161 -3.161 5.252
0.000 2.091 2.091
-2.626 2.626 2.626
2.626 2.626 2.626
5.252 3.161 3.161
2.091 0.000 8.414
2.091 8.414 0.000
3.161 5.252 3.161
3.161 3.161 5.252
```



Calculated powder diffractogram of U2Al9Rh3 for copper Kα, from DFT lattice parameters and positions (GGA-PBE).
Intensities are scaled so that the largest is 100.

Most intense lines, 2θ = 15–90°, by angle:
| Position (°2θ) | Rel. int. |
| --- | --- |
| 16.37 | 54.6 |
| 25.08 | 44.6 |
| 25.26 | 91.6 |
| 30.07 | 52.3 |
| 30.22 | 100.0 |
| 37.17 | 83.6 |
| 38.27 | 45.5 |
| 40.88 | 94.4 |
| 41.23 | 44.6 |
| 57.24 | 45.1 |

Cell and atoms:
```
U2Al9Rh3
1.0
6.569 -3.834 0.000
6.569 3.834 0.000
0.000 0.000 9.406
U Al Rh
4 18 6
Cartesian
4.428 2.547 7.055
8.710 2.547 7.055
4.428 -2.547 2.352
8.710 -2.547 2.352
4.384 2.542 0.700
4.384 2.542 4.004
6.569 2.860 2.352
6.569 1.269 5.228
6.569 1.269 8.882
8.753 2.542 0.700
8.753 2.542 4.004
5.203 0.435 2.352
5.203 -0.435 7.055
7.934 0.435 2.352
7.934 -0.435 7.055
4.384 -2.542 5.403
4.384 -2.542 8.707
6.569 -1.269 0.525
6.569 -1.269 4.179
6.569 -2.860 7.055
8.753 -2.542 5.403
8.753 -2.542 8.707
0.000 0.000 0.000
0.000 0.000 4.703
4.301 0.000 0.000
4.301 0.000 4.703
8.836 0.000 0.000
8.836 0.000 4.703
```



Calculated powder diffractogram of Ba6Os2N6O for copper Kα, from DFT lattice parameters and positions (GGA-PBE).
Intensities are scaled so that the largest is 100.

Most intense lines, 2θ = 15–90°, by angle:
| Position (°2θ) | Rel. int. |
| --- | --- |
| 16.11 | 14.7 |
| 26.65 | 42.7 |
| 27.19 | 100.0 |
| 30.68 | 46.0 |
| 32.56 | 67.6 |
| 33.91 | 24.6 |
| 38.15 | 16.1 |
| 46.56 | 20.7 |
| 48.99 | 21.4 |
| 53.54 | 13.5 |

Cell and atoms:
```
Ba6Os2N6O
1.0
4.086 2.359 5.828
-4.086 2.359 5.828
0.000 -4.718 5.828
Ba Os N O
6 2 6 1
Cartesian
-2.258 0.596 7.310
-1.645 -1.658 10.174
0.613 -2.254 7.310
-0.613 2.254 10.174
1.645 1.658 7.310
2.258 -0.596 10.174
0.000 0.000 4.321
0.000 0.000 13.162
-1.830 0.000 4.352
0.914 -1.585 4.352
0.915 1.584 4.352
-0.915 -1.584 13.131
-0.914 1.585 13.131
1.829 0.000 13.131
0.000 0.000 8.742
```



Calculated powder diffractogram of ZrCu for copper Kα, from DFT lattice parameters and positions (GGA-PBE).
Intensities are scaled so that the largest is 100.

Most intense lines, 2θ = 15–90°, by angle:
| Position (°2θ) | Rel. int. |
| --- | --- |
| 33.84 | 33.0 |
| 36.07 | 82.2 |
| 36.35 | 100.0 |
| 37.26 | 47.3 |
| 38.07 | 39.5 |
| 40.43 | 99.5 |
| 43.40 | 41.2 |
| 43.75 | 62.5 |
| 44.12 | 35.7 |
| 56.80 | 27.6 |

Cell and atoms:
```
ZrCu
1.0
3.242 0.000 0.000
0.000 4.138 0.000
-1.510 0.000 5.298
Zr Cu
2 2
Cartesian
0.015 1.035 1.623
1.717 3.104 3.675
0.127 1.035 4.569
1.605 3.104 0.730
```



Calculated powder diffractogram of Ce2TiCo16 for copper Kα, from DFT lattice parameters and positions (GGA-PBE).
Intensities are scaled so that the largest is 100.

Most intense lines, 2θ = 15–90°, by angle:
| Position (°2θ) | Rel. int. |
| --- | --- |
| 30.65 | 33.1 |
| 37.43 | 36.9 |
| 41.54 | 34.7 |
| 43.49 | 57.5 |
| 43.70 | 100.0 |
| 44.31 | 32.0 |
| 49.13 | 24.3 |
| 63.83 | 15.5 |
| 79.84 | 16.5 |
| 81.13 | 16.5 |

Cell and atoms:
```
Ce2TiCo16
1.0
8.323 0.000 0.000
-4.162 7.208 0.000
0.000 0.000 8.177
Ce Ti Co
4 2 32
Cartesian
0.000 0.000 2.038
0.000 0.000 6.140
0.000 4.805 2.165
4.162 2.403 6.013
0.000 4.805 7.246
4.162 2.403 0.931
-2.081 3.604 0.000
-2.081 3.604 4.089
-1.190 2.662 6.133
-2.451 4.846 6.133
0.000 2.401 0.201
0.000 2.404 3.951
-2.082 6.007 0.201
-2.079 6.006 3.951
1.190 2.662 6.133
-1.261 6.908 6.133
2.079 1.201 7.977
0.000 4.805 4.931
2.082 1.202 4.227
2.901 0.300 2.044
1.711 2.362 2.044
4.162 0.000 0.000
4.162 0.000 4.089
2.081 3.604 0.000
2.081 3.604 4.089
2.451 4.846 6.133
1.261 6.908 6.133
2.079 6.006 3.951
4.162 2.403 3.246
2.082 6.007 0.201
5.422 0.300 2.044
2.971 4.546 2.044
6.241 1.202 4.227
6.244 1.201 7.977
4.162 4.804 4.227
4.162 4.807 7.977
6.613 2.362 2.044
5.352 4.546 2.044
```



Calculated powder diffractogram of CaPd3O4 for copper Kα, from DFT lattice parameters and positions (GGA-PBE).
Intensities are scaled so that the largest is 100.

Most intense lines, 2θ = 15–90°, by angle:
| Position (°2θ) | Rel. int. |
| --- | --- |
| 21.52 | 15.0 |
| 30.62 | 4.9 |
| 34.34 | 100.0 |
| 37.74 | 37.0 |
| 54.44 | 21.6 |
| 56.86 | 22.9 |
| 59.21 | 18.8 |
| 63.76 | 14.8 |
| 74.46 | 20.1 |
| 76.53 | 4.3 |

Cell and atoms:
```
CaPd3O4
1.0
5.839 0.000 0.000
0.000 5.839 0.000
0.000 0.000 5.839
Ca Pd O
2 6 8
Cartesian
0.000 0.000 0.000
2.919 2.919 2.919
0.000 1.460 2.919
0.000 4.379 2.919
1.460 2.919 0.000
2.919 0.000 1.460
2.919 0.000 4.379
4.379 2.919 0.000
1.460 1.460 1.460
1.460 1.460 4.379
1.460 4.379 1.460
1.460 4.379 4.379
4.379 1.460 1.460
4.379 1.460 4.379
4.379 4.379 1.460
4.379 4.379 4.379
```



Calculated powder diffractogram of LiUAsO6 for copper Kα, from DFT lattice parameters and positions (GGA-PBE).
Intensities are scaled so that the largest is 100.

Most intense lines, 2θ = 15–90°, by angle:
| Position (°2θ) | Rel. int. |
| --- | --- |
| 17.63 | 45.0 |
| 18.50 | 66.1 |
| 19.25 | 44.3 |
| 20.46 | 83.6 |
| 20.86 | 100.0 |
| 27.39 | 59.0 |
| 29.01 | 37.8 |
| 31.07 | 28.2 |
| 35.69 | 35.1 |
| 36.00 | 35.5 |

Cell and atoms:
```
LiUAsO6
1.0
5.236 0.000 0.000
2.406 10.006 0.000
2.564 4.240 10.058
Li U As O
4 4 4 24
Cartesian
1.726 4.948 2.065
3.038 9.912 2.703
7.168 4.333 7.355
8.481 9.298 7.993
0.588 2.285 0.208
4.477 5.026 4.851
5.729 9.219 5.207
9.619 11.961 9.850
4.321 7.055 2.298
3.221 2.023 2.851
6.986 12.223 7.207
5.885 7.191 7.760
2.990 5.215 5.899
4.226 9.427 6.224
3.331 8.215 1.502
5.092 10.295 9.669
1.346 0.654 0.046
2.176 2.864 1.761
5.549 12.772 8.002
4.442 7.515 8.641
3.469 5.628 2.713
4.818 10.656 3.514
3.604 3.146 4.082
4.707 7.602 3.887
5.500 6.644 6.171
6.603 11.100 5.976
5.388 3.590 6.544
6.738 8.618 7.345
5.764 6.730 1.417
4.658 1.474 2.055
8.030 11.381 8.297
8.861 13.591 10.012
5.114 3.951 0.389
6.876 6.031 8.556
5.980 4.818 3.834
7.217 9.030 4.159
```



Calculated powder diffractogram of YTmAl2 for copper Kα, from DFT lattice parameters and positions (GGA-PBE).
Intensities are scaled so that the largest is 100.

Most intense lines, 2θ = 15–90°, by angle:
| Position (°2θ) | Rel. int. |
| --- | --- |
| 21.53 | 13.6 |
| 24.91 | 53.1 |
| 35.52 | 100.0 |
| 43.87 | 15.9 |
| 51.11 | 17.6 |
| 57.67 | 21.1 |
| 63.78 | 35.9 |
| 75.18 | 11.1 |
| 80.64 | 10.0 |
| 86.01 | 15.8 |

Cell and atoms:
```
YTmAl2
1.0
0.000 3.574 3.574
3.574 0.000 3.574
3.574 3.574 0.000
Y Tm Al
1 1 2
Cartesian
0.000 0.000 0.000
3.574 3.574 3.574
1.787 1.787 1.787
5.362 5.362 5.362
```